For LuNiBC, DFT lattice parameters and positions (PBE) gives the computed XRD peak list in this record (Cu Kα).
No peak broadening, texture or thermal motion is included.

```
data_LuNiBC
_chemical_formula_sum 'Lu2 Ni2 B2 C2'
_symmetry_space_group_name_H-M 'P 1'
_symmetry_Int_Tables_number 1
_cell_length_a 3.4995
_cell_length_b 3.4995
_cell_length_c 7.5411
_cell_angle_alpha 90.00
_cell_angle_beta 90.00
_cell_angle_gamma 90.00
loop_
_symmetry_equiv_pos_as_xyz
'x,y,z'
loop_
_atom_site_label
_atom_site_type_symbol
_atom_site_fract_x
_atom_site_fract_y
_atom_site_fract_z
_atom_site_occupancy
Lu1 Lu 0.2500 0.2500 0.1614 1
Lu2 Lu 0.7500 0.7500 0.8386 1
Ni1 Ni 0.2500 0.7500 0.5000 1
Ni2 Ni 0.7500 0.2500 0.5000 1
B1 B 0.2500 0.2500 0.6513 1
B2 B 0.7500 0.7500 0.3487 1
C1 C 0.2500 0.2500 0.8493 1
C2 C 0.7500 0.7500 0.1507 1
```

Principal peaks in the range 15° ≤ 2θ ≤ 90°, in order of falling intensity:
d [Å]	intensity
3.174	100
2.565	78
2.351	65
2.514	46
2.069	39
1.750	34
1.436	31
1.445	27